Structure and computed powder diffraction line list of Na2Sn3GePd4 (a structure optimized by DFT (GGA-PBE); Cu Kα (weighted mean of Kα1 and Kα2)).
Lines closer than 0.1° are merged.

Cell lengths 4.377, 4.377, 11.418 Å; angles 90.00, 90.00, 90.00 degrees
Fractional coordinates of all 10 atoms:
Na  0.000  0.500  0.248
Na  0.500  0.000  0.752
Sn  0.000  0.000  0.000
Sn  0.000  0.500  0.635
Sn  0.500  0.000  0.365
Ge  0.500  0.500  0.000
Pd  0.000  0.000  0.500
Pd  0.000  0.500  0.867
Pd  0.500  0.000  0.133
Pd  0.500  0.500  0.500

Principal peaks in the range 10 to 90 degrees two-theta, sorted by position:
d 5.709, 15.52°, I 49; d 4.087, 21.75°, I 79; d 2.872, 31.14°, I 37; d 2.721, 32.92°, I 84; d 2.188, 41.25°, I 73; d 2.098, 43.11°, I 100; d 2.025, 44.76°, I 28; d 1.929, 47.10°, I 21; d 1.547, 59.76°, I 24; d 1.245, 76.49°, I 38

***

Structure and computed powder diffraction line list of NaPm2Ge6 (a structure optimized by DFT (GGA-PBE); Cu Kα (weighted mean of Kα1 and Kα2)).
Lines closer than 0.1° are merged.

Cell lengths 7.947, 7.947, 4.065 Å; angles 104.64, 104.64, 77.05 degrees
Fractional coordinates of all 9 atoms:
Na  0.000  0.000  0.000
Pm  0.342  0.342  0.622
Pm  0.655  0.655  0.931
Ge  0.041  0.595  0.098
Ge  0.358  0.640  0.277
Ge  0.403  0.956  0.461
Ge  0.595  0.041  0.098
Ge  0.640  0.358  0.277
Ge  0.956  0.403  0.461

Principal peaks in the range 10 to 90 degrees two-theta, sorted by position:
d 7.575, 11.68°, I 100; d 3.760, 23.66°, I 27; d 3.174, 28.11°, I 18; d 3.163, 28.21°, I 18; d 3.035, 29.43°, I 52; d 2.525, 35.55°, I 58; d 2.456, 36.59°, I 40; d 2.448, 36.71°, I 40; d 2.033, 44.58°, I 26; d 1.962, 46.28°, I 28

***

Structure and computed powder diffraction line list of Na2PmGe2 (a structure optimized by DFT (GGA-PBE); Cu Kα (weighted mean of Kα1 and Kα2)).
Lines closer than 0.1° are merged.

Cell lengths 4.249, 4.249, 13.552 Å; angles 90.00, 90.00, 90.00 degrees
Fractional coordinates of all 10 atoms:
Na  0.000  0.500  0.250
Na  0.000  0.500  0.750
Na  0.500  0.000  0.250
Na  0.500  0.000  0.750
Pm  0.000  0.000  0.000
Pm  0.500  0.500  0.500
Ge  0.000  0.000  0.410
Ge  0.000  0.000  0.590
Ge  0.500  0.500  0.090
Ge  0.500  0.500  0.910

Principal peaks in the range 10 to 90 degrees two-theta, sorted by position:
d 6.776, 13.07°, I 84; d 3.095, 28.85°, I 56; d 3.005, 29.73°, I 58; d 2.747, 32.60°, I 100; d 2.285, 39.43°, I 74; d 2.125, 42.55°, I 42; d 1.762, 51.90°, I 25; d 1.752, 52.22°, I 21; d 1.556, 59.40°, I 44; d 1.356, 69.29°, I 23

***

Structure and computed powder diffraction line list of NaPr2Ge3Pt4 (a structure optimized by DFT (GGA-PBE); Cu Kα (weighted mean of Kα1 and Kα2)).
Lines closer than 0.1° are merged.

Cell lengths 4.343, 4.343, 10.611 Å; angles 90.00, 90.00, 90.00 degrees
Fractional coordinates of all 10 atoms:
Na  0.000  0.000  0.000
Pr  0.000  0.500  0.743
Pr  0.500  0.000  0.257
Ge  0.000  0.500  0.373
Ge  0.500  0.000  0.627
Ge  0.500  0.500  0.000
Pt  0.000  0.000  0.500
Pt  0.000  0.500  0.143
Pt  0.500  0.000  0.857
Pt  0.500  0.500  0.500

Principal peaks in the range 10 to 90 degrees two-theta, sorted by position:
d 2.950, 30.30°, I 28; d 2.743, 32.65°, I 44; d 2.658, 33.72°, I 100; d 2.172, 41.59°, I 63; d 2.008, 45.16°, I 30; d 1.907, 47.70°, I 30; d 1.703, 53.85°, I 21; d 1.536, 60.27°, I 21; d 1.433, 65.10°, I 24; d 1.330, 70.88°, I 24